This entry pairs a crystal structure of BaNdAgTeS2 with its simulated powder diffractogram. Radiation: Cu Ka. Structure: a crystal structure in OQMD, relaxed with PBE.
Lines closer than 0.1° are merged.

```
BaNdAgTeS2
1.0
2.1241 -7.5385 0.0000
2.1241 7.5385 0.0000
0.0000 0.0000 11.3462
Ba Nd Ag Te S
2 2 2 2 4
Direct
0.2132 0.7868 0.7500 Ba
0.7868 0.2132 0.2500 Ba
0.0000 0.0000 0.0000 Nd
0.0000 0.0000 0.5000 Nd
0.4860 0.5140 0.2500 Ag
0.5140 0.4860 0.7500 Ag
0.1051 0.8949 0.2500 Te
0.8949 0.1051 0.7500 Te
0.3820 0.6180 0.0724 S
0.3820 0.6180 0.4276 S
0.6180 0.3820 0.5724 S
0.6180 0.3820 0.9276 S
```

Main lines, by angle (15 to 90 degrees two-theta):
2θ/deg	I/Imax
15.62	26.7
19.58	15.0
28.62	55.7
31.54	37.0
31.77	100.0
36.49	17.0
39.96	24.9
42.56	21.7
50.13	21.1
53.93	16.0



This entry pairs a crystal structure of Rb2InCuF6 with its simulated powder diffractogram. Radiation: Cu Ka. Structure: a crystal structure in OQMD, relaxed with PBE.
Lines closer than 0.1° are merged.

```
Rb2InCuF6
1.0
2.9721 1.7159 4.8459
-2.9721 1.7159 4.8459
0.0000 -3.4319 4.8459
Rb In Cu F
2 1 1 6
Direct
0.2500 0.2500 0.2500 Rb
0.7500 0.7500 0.7500 Rb
0.0000 0.0000 0.0000 In
0.5000 0.5000 0.5000 Cu
0.2500 0.2500 0.7495 F
0.2500 0.7495 0.2500 F
0.2505 0.7500 0.7500 F
0.7495 0.2500 0.2500 F
0.7500 0.2505 0.7500 F
0.7500 0.7500 0.2505 F
```

Main lines, by angle (15 to 90 degrees two-theta):
2θ/deg	I/Imax
18.29	5.0
30.08	100.0
37.07	4.0
43.06	40.3
53.42	39.4
62.54	24.1
70.94	16.9
78.91	5.8
86.70	15.3
86.81	5.1



This entry pairs a crystal structure of Ba2TlSnPd4 with its simulated powder diffractogram. Radiation: Cu Ka. Structure: a crystal structure in OQMD, relaxed with PBE.
Lines closer than 0.1° are merged.

```
Ba2TlSnPd4
1.0
4.7109 0.0000 0.0000
-2.3554 4.0797 0.0000
0.0000 0.0000 11.0712
Ba Tl Sn Pd
2 1 1 4
Direct
0.3333 0.6667 0.2492 Ba
0.6667 0.3333 0.7508 Ba
0.0000 0.0000 0.5000 Tl
0.0000 0.0000 0.0000 Sn
0.3333 0.6667 0.5450 Pd
0.3333 0.6667 0.9558 Pd
0.6667 0.3333 0.0442 Pd
0.6667 0.3333 0.4550 Pd
```

Main lines, by angle (15 to 90 degrees two-theta):
2θ/deg	I/Imax
16.01	50.8
27.15	33.8
32.35	30.2
32.72	77.8
38.21	100.0
41.67	27.6
50.91	50.6
51.17	21.6
65.62	20.3
69.07	17.5



This entry pairs a crystal structure of Pr2SmFe2B2N3 with its simulated powder diffractogram. Radiation: Cu Ka. Structure: a crystal structure in OQMD, relaxed with PBE.
Lines closer than 0.1° are merged.

```
Pr2SmFe2B2N3
1.0
-1.7998 1.7998 10.3425
1.7998 -1.7998 10.3425
1.7998 1.7998 -10.3425
Pr Sm Fe B N
2 1 2 2 3
Direct
0.1250 0.1250 0.0000 Pr
0.8750 0.8750 0.0000 Pr
0.5000 0.5000 0.0000 Sm
0.2500 0.7500 0.5000 Fe
0.7500 0.2500 0.5000 Fe
0.3106 0.3106 0.0000 B
0.6894 0.6894 0.0000 B
0.0000 0.0000 0.0000 N
0.3816 0.3816 0.0000 N
0.6184 0.6184 0.0000 N
```

Main lines, by angle (15 to 90 degrees two-theta):
2θ/deg	I/Imax
27.96	100.0
32.99	77.4
34.69	51.7
35.26	41.3
36.35	40.8
39.46	32.0
50.72	37.7
58.91	26.9
61.84	26.3
62.92	34.9



This entry pairs a crystal structure of LiPrAu with its simulated powder diffractogram. Radiation: Cu Ka. Structure: a crystal structure in OQMD, relaxed with PBE.
Lines closer than 0.1° are merged.

```
LiPrAu
1.0
6.9413 0.0000 0.0000
0.0000 6.9413 0.0000
0.0000 0.0000 6.9413
Li Pr Au
4 4 4
Direct
0.0000 0.0000 0.0000 Li
0.0000 0.5000 0.5000 Li
0.5000 0.0000 0.5000 Li
0.5000 0.5000 0.0000 Li
0.2500 0.2500 0.7500 Pr
0.2500 0.7500 0.2500 Pr
0.7500 0.2500 0.2500 Pr
0.7500 0.7500 0.7500 Pr
0.0000 0.0000 0.5000 Au
0.0000 0.5000 0.0000 Au
0.5000 0.0000 0.0000 Au
0.5000 0.5000 0.5000 Au
```

Main lines, by angle (15 to 90 degrees two-theta):
2θ/deg	I/Imax
22.18	100.0
36.62	88.1
43.23	53.7
52.75	15.6
57.91	22.8
65.93	32.0
70.49	17.0
77.84	10.1
82.15	17.2
89.24	15.0



This entry pairs a crystal structure of Sm2Tl8Ni with its simulated powder diffractogram. Radiation: Cu Ka. Structure: a crystal structure in OQMD, relaxed with PBE.
Lines closer than 0.1° are merged.

```
Sm2Tl8Ni
1.0
4.8015 0.0000 0.0000
0.0000 4.8015 0.0000
0.0000 0.0000 12.6562
Sm Tl Ni
2 8 1
Direct
0.0000 0.0000 0.1943 Sm
0.0000 0.0000 0.8057 Sm
0.0000 0.5000 0.0000 Tl
0.0000 0.5000 0.3794 Tl
0.0000 0.5000 0.6206 Tl
0.5000 0.0000 0.0000 Tl
0.5000 0.0000 0.3794 Tl
0.5000 0.0000 0.6206 Tl
0.5000 0.5000 0.1891 Tl
0.5000 0.5000 0.8109 Tl
0.0000 0.0000 0.5000 Ni
```

Main lines, by angle (15 to 90 degrees two-theta):
2θ/deg	I/Imax
29.87	42.9
33.89	100.0
35.46	23.1
37.46	56.9
52.54	30.7
54.02	20.1
65.04	19.5
65.32	30.5
66.30	15.4
89.46	17.5



This entry pairs a crystal structure of Er2Ge2O7 with its simulated powder diffractogram. Radiation: Cu Ka. Structure: a crystal structure in OQMD, relaxed with PBE.
Lines closer than 0.1° are merged.

```
Er2Ge2O7
1.0
6.7568 0.0000 0.0000
0.0000 6.7568 0.0000
0.0000 0.0000 12.3002
Er Ge O
8 8 28
Direct
0.1265 0.3544 0.1141 Er
0.1456 0.6265 0.3641 Er
0.3544 0.1265 0.8859 Er
0.3735 0.8544 0.1359 Er
0.6265 0.1456 0.6359 Er
0.6456 0.8735 0.3859 Er
0.8544 0.3735 0.8641 Er
0.8735 0.6456 0.6141 Er
0.1017 0.1515 0.6314 Ge
0.1515 0.1017 0.3686 Ge
0.3485 0.6017 0.8814 Ge
0.3983 0.6515 0.6186 Ge
0.6017 0.3485 0.1186 Ge
0.6515 0.3983 0.3814 Ge
0.8485 0.8983 0.8686 Ge
0.8983 0.8485 0.1314 Ge
0.0345 0.0777 0.8723 O
0.0653 0.6614 0.1793 O
0.0777 0.0345 0.1277 O
0.1445 0.3205 0.2934 O
0.1614 0.4347 0.9293 O
0.1795 0.6445 0.5434 O
0.2005 0.2005 0.5000 O
0.2995 0.7005 0.7500 O
0.3205 0.1445 0.7066 O
0.3386 0.9347 0.3207 O
0.3555 0.8205 0.9566 O
0.4223 0.5345 0.1223 O
0.4347 0.1614 0.0707 O
0.4655 0.5777 0.3777 O
0.5345 0.4223 0.8777 O
0.5653 0.8386 0.5707 O
0.5777 0.4655 0.6223 O
0.6445 0.1795 0.4566 O
0.6614 0.0653 0.8207 O
0.6795 0.8555 0.2066 O
0.7005 0.2995 0.2500 O
0.7995 0.7995 0.0000 O
0.8205 0.3555 0.0434 O
0.8386 0.5653 0.4293 O
0.8555 0.6795 0.7934 O
0.9223 0.9655 0.6277 O
0.9347 0.3386 0.6793 O
0.9655 0.9223 0.3723 O
```

Main lines, by angle (15 to 90 degrees two-theta):
2θ/deg	I/Imax
27.38	78.0
29.04	73.3
29.56	22.6
30.46	47.1
33.03	100.0
34.40	41.7
49.18	37.6
54.06	32.8
54.31	22.5
62.76	25.7



This entry pairs a crystal structure of Na2Mg2InGaPt2 with its simulated powder diffractogram. Radiation: Cu Ka. Structure: a crystal structure in OQMD, relaxed with PBE.
Lines closer than 0.1° are merged.

```
Na2Mg2InGaPt2
1.0
4.6505 0.0000 0.0000
0.0000 4.6505 0.0000
0.0000 0.0000 6.6592
Na Mg In Ga Pt
2 2 1 1 2
Direct
0.0000 0.5000 0.2379 Na
0.5000 0.0000 0.7621 Na
0.0000 0.0000 0.0000 Mg
0.5000 0.5000 0.5000 Mg
0.0000 0.0000 0.5000 In
0.5000 0.5000 0.0000 Ga
0.0000 0.5000 0.7624 Pt
0.5000 0.0000 0.2376 Pt
```

Main lines, by angle (15 to 90 degrees two-theta):
2θ/deg	I/Imax
23.33	100.0
38.48	95.7
38.73	47.7
45.27	17.1
45.70	34.7
55.92	16.2
61.06	14.3
69.43	15.7
69.93	32.3
82.45	9.8



This entry pairs a crystal structure of TlCu8Se4 with its simulated powder diffractogram. Radiation: Cu Ka. Structure: a crystal structure in OQMD, relaxed with PBE.
Lines closer than 0.1° are merged.

```
TlCu8Se4
1.0
-5.3200 5.3200 1.9382
5.3200 -5.3200 1.9382
5.3200 5.3200 -1.9382
Tl Cu Se
1 8 4
Direct
0.0000 0.0000 0.0000 Tl
0.0249 0.3823 0.4071 Cu
0.2077 0.6760 0.8838 Cu
0.3240 0.2077 0.5317 Cu
0.3823 0.9751 0.3574 Cu
0.6177 0.0249 0.6426 Cu
0.6760 0.7923 0.4683 Cu
0.7923 0.3240 0.1162 Cu
0.9751 0.6177 0.5929 Cu
0.2572 0.4304 0.6876 Se
0.4304 0.7428 0.1733 Se
0.5696 0.2572 0.8267 Se
0.7428 0.5696 0.3124 Se
```

Main lines, by angle (15 to 90 degrees two-theta):
2θ/deg	I/Imax
26.49	55.9
29.73	82.9
34.27	63.5
38.33	43.8
42.06	100.0
46.87	41.1
48.82	49.6
49.98	66.1
70.93	44.9
73.38	22.0



This entry pairs a crystal structure of KLi4InPd2 with its simulated powder diffractogram. Radiation: Cu Ka. Structure: a crystal structure in OQMD, relaxed with PBE.
Lines closer than 0.1° are merged.

```
KLi4InPd2
1.0
4.7203 0.0000 0.0000
0.0000 4.7203 0.0000
0.0000 0.0000 6.7830
K Li In Pd
1 4 1 2
Direct
0.0000 0.0000 0.0000 K
0.0000 0.0000 0.5000 Li
0.0000 0.5000 0.7062 Li
0.5000 0.0000 0.2938 Li
0.5000 0.5000 0.0000 Li
0.5000 0.5000 0.5000 In
0.0000 0.5000 0.2987 Pd
0.5000 0.0000 0.7013 Pd
```

Main lines, by angle (15 to 90 degrees two-theta):
2θ/deg	I/Imax
22.95	100.0
32.51	13.5
37.82	55.4
38.13	33.7
44.43	10.3
44.97	32.3
48.64	14.2
55.02	11.3
59.95	8.1
68.70	18.0



This entry pairs a crystal structure of Er2Al8Pd with its simulated powder diffractogram. Radiation: Cu Ka. Structure: a crystal structure in OQMD, relaxed with PBE.
Lines closer than 0.1° are merged.

```
Er2Al8Pd
1.0
4.2775 0.0000 0.0000
0.0000 4.2775 0.0000
0.0000 0.0000 11.1094
Er Al Pd
2 8 1
Direct
0.0000 0.0000 0.1872 Er
0.0000 0.0000 0.8128 Er
0.0000 0.5000 0.0000 Al
0.0000 0.5000 0.3735 Al
0.0000 0.5000 0.6265 Al
0.5000 0.0000 0.0000 Al
0.5000 0.0000 0.3735 Al
0.5000 0.0000 0.6265 Al
0.5000 0.5000 0.1941 Al
0.5000 0.5000 0.8059 Al
0.0000 0.0000 0.5000 Pd
```

Main lines, by angle (15 to 90 degrees two-theta):
2θ/deg	I/Imax
20.77	100.0
24.03	25.6
29.53	31.0
31.97	62.8
38.43	99.7
42.26	46.2
47.53	23.0
49.20	21.7
53.95	39.5
74.71	28.0



This entry pairs a crystal structure of Na3As2Pt3 with its simulated powder diffractogram. Radiation: Cu Ka. Structure: a crystal structure in OQMD, relaxed with PBE.
Lines closer than 0.1° are merged.

```
Na3As2Pt3
1.0
2.7584 1.5925 6.2710
-2.7584 1.5925 6.2710
0.0000 -3.1851 6.2710
Na As Pt
3 2 3
Direct
0.0000 0.0000 0.0000 Na
0.4211 0.4211 0.4211 Na
0.5789 0.5789 0.5789 Na
0.2681 0.2681 0.2681 As
0.7319 0.7319 0.7319 As
0.0000 0.0000 0.5000 Pt
0.0000 0.5000 0.0000 Pt
0.5000 0.0000 0.0000 Pt
```

Main lines, by angle (15 to 90 degrees two-theta):
2θ/deg	I/Imax
19.17	33.8
20.85	100.0
35.56	42.7
37.97	95.9
38.43	34.5
38.90	54.3
42.44	97.4
43.71	38.9
44.95	57.0
54.78	39.4



This entry pairs a crystal structure of ZrPaIn with its simulated powder diffractogram. Radiation: Cu Ka. Structure: a crystal structure in OQMD, relaxed with PBE.
Lines closer than 0.1° are merged.

```
ZrPaIn
1.0
7.0092 0.0000 0.0000
0.0000 7.0092 0.0000
0.0000 0.0000 7.0092
Zr Pa In
4 4 4
Direct
0.0000 0.0000 0.0000 Zr
0.0000 0.5000 0.5000 Zr
0.5000 0.0000 0.5000 Zr
0.5000 0.5000 0.0000 Zr
0.0000 0.0000 0.5000 Pa
0.0000 0.5000 0.0000 Pa
0.5000 0.0000 0.0000 Pa
0.5000 0.5000 0.5000 Pa
0.2500 0.2500 0.7500 In
0.2500 0.7500 0.2500 In
0.7500 0.2500 0.2500 In
0.7500 0.7500 0.7500 In
```

Main lines, by angle (15 to 90 degrees two-theta):
2θ/deg	I/Imax
21.96	38.1
25.42	26.7
36.25	100.0
42.79	21.0
52.20	17.6
57.30	9.1
58.93	11.0
65.21	35.9
76.95	11.2
88.15	16.4